Record 1
Computed powder XRD pattern
Compound: ZrTiPd2
Radiation: Cu Kα
Structure: a DFT-relaxed cell (GGA-PBE, Alexandria)
Lines closer than 0.1° are merged.

Structural model:
Unit cell a=4.1694 b=4.1694 c=3.9328 alpha=90.00 beta=90.00 gamma=90.00
Fractional positions:
Zr 0.0000 0.0000 0.0000
Ti 0.5000 0.5000 0.0000
Pd 0.0000 0.5000 0.5000
Pd 0.5000 0.0000 0.5000

Peak list (8 most intense, 5 to 70 degrees two-theta, by angle)
2θ = 21.3°, rel. 4
2θ = 22.6°, rel. 4
2θ = 30.3°, rel. 4
2θ = 38.1°, rel. 100
2θ = 43.4°, rel. 34
2θ = 46.2°, rel. 14
2θ = 63.1°, rel. 11
2θ = 65.2°, rel. 20

Record 2
Computed powder XRD pattern
Compound: ZrTi2Pd8
Radiation: Cu Kα
Structure: a DFT-relaxed cell (GGA-PBE, Alexandria)
Lines closer than 0.1° are merged.

Structural model:
Unit cell a=7.3810 b=7.3810 c=6.4779 alpha=107.97 beta=107.97 gamma=31.50
Fractional positions:
Zr 0.0000 0.0000 0.0000
Ti 0.2804 0.2804 0.3379
Ti 0.7196 0.7196 0.6621
Pd 0.1055 0.1055 0.4599
Pd 0.1809 0.1809 0.9151
Pd 0.3525 0.3525 0.7964
Pd 0.4582 0.4582 0.2742
Pd 0.5418 0.5418 0.7258
Pd 0.6475 0.6475 0.2036
Pd 0.8191 0.8191 0.0849
Pd 0.8945 0.8945 0.5401

Peak list (8 most intense, 5 to 70 degrees two-theta, by angle)
2θ = 39.1°, rel. 99
2θ = 39.2°, rel. 100
2θ = 43.8°, rel. 35
2θ = 45.3°, rel. 34
2θ = 47.4°, rel. 26
2θ = 64.8°, rel. 21
2θ = 66.8°, rel. 11
2θ = 67.6°, rel. 17

Record 3
Computed powder XRD pattern
Compound: ZrTiPd5
Radiation: Cu Kα
Structure: a DFT-relaxed cell (GGA-PBE, Alexandria)
Lines closer than 0.1° are merged.

Structural model:
Unit cell a=4.0340 b=4.0340 c=7.3168 alpha=90.00 beta=90.00 gamma=90.00
Fractional positions:
Zr 0.0000 0.0000 0.0000
Ti 0.5000 0.5000 0.5000
Pd 0.0000 0.5000 0.2805
Pd 0.0000 0.5000 0.7195
Pd 0.5000 0.0000 0.2805
Pd 0.5000 0.0000 0.7195
Pd 0.5000 0.5000 0.0000

Peak list (8 most intense, 5 to 70 degrees two-theta, by angle)
2θ = 33.7°, rel. 21
2θ = 36.9°, rel. 11
2θ = 40.1°, rel. 100
2θ = 44.9°, rel. 39
2θ = 49.9°, rel. 10
2θ = 59.5°, rel. 11
2θ = 65.4°, rel. 12
2θ = 69.4°, rel. 14

Record 4
Computed powder XRD pattern
Compound: Tl7Pd5
Radiation: Cu Kα
Structure: a DFT-relaxed cell (GGA-PBE, Alexandria)
Lines closer than 0.1° are merged.

Structural model:
Unit cell a=7.2408 b=7.2408 c=6.7674 alpha=117.63 beta=117.63 gamma=77.42
Fractional positions:
Tl 0.0000 0.0000 0.0000
Tl 0.0004 0.4316 0.5857
Tl 0.0005 0.5677 0.1542
Tl 0.4316 0.0004 0.5857
Tl 0.4995 0.4995 0.4906
Tl 0.5010 0.5010 0.9928
Tl 0.5677 0.0005 0.1542
Pd 0.9997 0.9997 0.4005
Pd 0.2269 0.2269 0.9307
Pd 0.2275 0.7734 0.7052
Pd 0.7734 0.2275 0.7052
Pd 0.7738 0.7738 0.4783

Peak list (8 most intense, 5 to 70 degrees two-theta, by angle)
2θ = 27.8°, rel. 100
2θ = 33.1°, rel. 85
2θ = 38.1°, rel. 45
2θ = 38.2°, rel. 44
2θ = 38.6°, rel. 91
2θ = 38.8°, rel. 91
2θ = 39.7°, rel. 58
2θ = 39.8°, rel. 57

Record 5
Computed powder XRD pattern
Compound: Tl3Pd
Radiation: Cu Kα
Structure: a DFT-relaxed cell (GGA-PBE, Alexandria)
Lines closer than 0.1° are merged.

Structural model:
Unit cell a=3.7165 b=3.7165 c=9.3060 alpha=98.75 beta=98.75 gamma=55.69
Fractional positions:
Tl 0.0000 0.0000 0.0000
Tl 0.2315 0.2315 0.7071
Tl 0.7685 0.7685 0.2929
Pd 0.5000 0.5000 0.5000

Peak list (8 most intense, 5 to 70 degrees two-theta, by angle)
2θ = 29.2°, rel. 24
2θ = 31.0°, rel. 54
2θ = 31.6°, rel. 100
2θ = 36.6°, rel. 29
2θ = 39.3°, rel. 15
2θ = 40.0°, rel. 44
2θ = 49.3°, rel. 32
2θ = 62.4°, rel. 22

Record 6
Computed powder XRD pattern
Compound: Tl4Pd3
Radiation: Cu Kα
Structure: a DFT-relaxed cell (GGA-PBE, Alexandria)
Lines closer than 0.1° are merged.

Structural model:
Unit cell a=6.9110 b=6.9110 c=5.7525 alpha=105.27 beta=105.27 gamma=37.53
Fractional positions:
Tl 0.0702 0.0702 0.3091
Tl 0.3280 0.3280 0.1944
Tl 0.6720 0.6720 0.8056
Tl 0.9298 0.9298 0.6909
Pd 0.2879 0.2879 0.6672
Pd 0.5000 0.5000 0.0000
Pd 0.7121 0.7121 0.3328

Peak list (8 most intense, 5 to 70 degrees two-theta, by angle)
2θ = 27.9°, rel. 87
2θ = 28.5°, rel. 40
2θ = 29.3°, rel. 63
2θ = 32.4°, rel. 31
2θ = 36.4°, rel. 38
2θ = 39.3°, rel. 100
2θ = 40.6°, rel. 60
2θ = 41.2°, rel. 58

Record 7
Computed powder XRD pattern
Compound: Tl9Pd13
Radiation: Cu Kα
Structure: a DFT-relaxed cell (GGA-PBE, Alexandria)
Lines closer than 0.1° are merged.

Structural model:
Unit cell a=9.1285 b=9.1285 c=5.7851 alpha=90.00 beta=90.00 gamma=120.00
Fractional positions:
Tl 0.0000 0.0000 0.0000
Tl 0.1924 0.3849 0.7462
Tl 0.1924 0.8076 0.7462
Tl 0.3333 0.6667 0.2449
Tl 0.3849 0.1924 0.2538
Tl 0.6151 0.8076 0.7462
Tl 0.6667 0.3333 0.7551
Tl 0.8076 0.1924 0.2538
Tl 0.8076 0.6151 0.2538
Pd 0.0000 0.0000 0.5000
Pd 0.0000 0.5000 0.0000
Pd 0.0000 0.5000 0.5000
Pd 0.1596 0.3191 0.2529
Pd 0.1596 0.8404 0.2529
Pd 0.3191 0.1596 0.7471
Pd 0.5000 0.0000 0.0000
Pd 0.5000 0.0000 0.5000
Pd 0.5000 0.5000 0.0000
Pd 0.5000 0.5000 0.5000
Pd 0.6809 0.8404 0.2529
Pd 0.8404 0.1596 0.7471
Pd 0.8404 0.6809 0.7471

Peak list (8 most intense, 5 to 70 degrees two-theta, by angle)
2θ = 27.3°, rel. 30
2θ = 29.9°, rel. 12
2θ = 30.9°, rel. 12
2θ = 33.8°, rel. 18
2θ = 37.5°, rel. 18
2θ = 38.6°, rel. 100
2θ = 39.5°, rel. 92
2θ = 56.4°, rel. 25

Record 8
Computed powder XRD pattern
Compound: Tl2Pd3
Radiation: Cu Kα
Structure: a DFT-relaxed cell (GGA-PBE, Alexandria)
Lines closer than 0.1° are merged.

Structural model:
Unit cell a=7.0447 b=7.0447 c=7.0447 alpha=123.74 beta=74.91 gamma=134.83
Fractional positions:
Tl 0.1689 0.2461 0.4151
Tl 0.3311 0.7461 0.0772
Tl 0.6689 0.2539 0.9228
Tl 0.8311 0.7539 0.5849
Pd 0.0862 0.8471 0.9333
Pd 0.2500 0.7500 0.5000
Pd 0.4138 0.3471 0.7610
Pd 0.5862 0.6529 0.2390
Pd 0.7500 0.2500 0.5000
Pd 0.9138 0.1529 0.0667

Peak list (8 most intense, 5 to 70 degrees two-theta, by angle)
2θ = 26.6°, rel. 34
2θ = 26.8°, rel. 34
2θ = 31.3°, rel. 28
2θ = 33.1°, rel. 39
2θ = 38.7°, rel. 100
2θ = 43.1°, rel. 49
2θ = 47.2°, rel. 34
2θ = 62.9°, rel. 24

Record 9
Computed powder XRD pattern
Compound: Tl3Pd
Radiation: Cu Kα
Structure: a DFT-relaxed cell (GGA-PBE, Alexandria)
Lines closer than 0.1° are merged.

Structural model:
Unit cell a=3.4326 b=3.6205 c=8.6590 alpha=90.00 beta=90.00 gamma=90.00
Fractional positions:
Tl 0.0000 0.0000 0.0000
Tl 0.0000 0.5000 0.3151
Tl 0.5000 0.5000 0.7224
Pd 0.5000 0.0000 0.4739

Peak list (8 most intense, 5 to 70 degrees two-theta, by angle)
2θ = 28.0°, rel. 73
2θ = 31.0°, rel. 25
2θ = 32.2°, rel. 100
2θ = 37.6°, rel. 95
2θ = 40.8°, rel. 31
2θ = 50.4°, rel. 18
2θ = 58.6°, rel. 19
2θ = 63.7°, rel. 29

Record 10
Computed powder XRD pattern
Compound: Tl12Pd
Radiation: Cu Kα
Structure: a DFT-relaxed cell (GGA-PBE, Alexandria)
Lines closer than 0.1° are merged.

Structural model:
Unit cell a=7.9057 b=7.9057 c=7.9057 alpha=109.47 beta=109.47 gamma=109.47
Fractional positions:
Tl 0.1276 0.8212 0.3064
Tl 0.1788 0.3064 0.4852
Tl 0.1788 0.6936 0.8724
Tl 0.3064 0.1276 0.8212
Tl 0.3064 0.4852 0.1788
Tl 0.4852 0.1788 0.3064
Tl 0.5148 0.8212 0.6936
Tl 0.6936 0.5148 0.8212
Tl 0.6936 0.8724 0.1788
Tl 0.8212 0.3064 0.1276
Tl 0.8212 0.6936 0.5148
Tl 0.8724 0.1788 0.6936
Pd 0.0000 0.0000 0.0000

Peak list (8 most intense, 5 to 70 degrees two-theta, by angle)
2θ = 27.6°, rel. 21
2θ = 31.0°, rel. 100
2θ = 34.0°, rel. 33
2θ = 36.8°, rel. 77
2θ = 59.0°, rel. 48
2θ = 60.9°, rel. 13
2θ = 62.7°, rel. 34
2θ = 69.9°, rel. 12

Record 11
Computed powder XRD pattern
Compound: Tm3TlPd
Radiation: Cu Kα
Structure: a DFT-relaxed cell (GGA-PBE, Alexandria)
Lines closer than 0.1° are merged.

Structural model:
Unit cell a=7.6578 b=7.6578 c=5.3377 alpha=90.00 beta=90.00 gamma=120.00
Fractional positions:
Tm 0.1849 0.3697 0.2500
Tm 0.1849 0.8151 0.2500
Tm 0.3697 0.1849 0.7500
Tm 0.6303 0.8151 0.2500
Tm 0.8151 0.1849 0.7500
Tm 0.8151 0.6303 0.7500
Tl 0.3333 0.6667 0.7500
Tl 0.6667 0.3333 0.2500
Pd 0.0000 0.0000 0.0000
Pd 0.0000 0.0000 0.5000

Peak list (8 most intense, 5 to 70 degrees two-theta, by angle)
2θ = 26.9°, rel. 12
2θ = 31.8°, rel. 100
2θ = 33.6°, rel. 15
2θ = 43.5°, rel. 25
2θ = 47.5°, rel. 26
2θ = 58.3°, rel. 15
2θ = 58.9°, rel. 18
2θ = 59.4°, rel. 14

Record 12
Computed powder XRD pattern
Compound: Tm6Tl2Pd
Radiation: Cu Kα
Structure: a DFT-relaxed cell (GGA-PBE, Alexandria)
Lines closer than 0.1° are merged.

Structural model:
Unit cell a=8.6492 b=8.6492 c=8.6492 alpha=146.29 beta=131.09 gamma=60.72
Fractional positions:
Tm 0.0827 0.3427 0.7400
Tm 0.2306 0.0000 0.2306
Tm 0.3973 0.6573 0.7400
Tm 0.6027 0.3427 0.2600
Tm 0.7694 0.0000 0.7694
Tm 0.9173 0.6573 0.2600
Tl 0.3321 0.8321 0.5000
Tl 0.6679 0.1679 0.5000
Pd 0.0000 0.5000 0.5000

Peak list (8 most intense, 5 to 70 degrees two-theta, by angle)
2θ = 21.6°, rel. 16
2θ = 21.8°, rel. 16
2θ = 25.2°, rel. 11
2θ = 35.7°, rel. 100
2θ = 36.1°, rel. 19
2θ = 51.8°, rel. 14
2θ = 64.3°, rel. 15
2θ = 64.7°, rel. 13